This entry pairs a crystal structure of KCaNdWO6 with its simulated X-ray diffraction stick pattern. Radiation: copper Kα. Structure: a cell relaxed with PBE+U.
Lines closer than 0.1° are merged.

The 10 most intense peaks (2θ from 15° to 90°), sorted by position:
d = 4.263 Å, 2θ = 20.8°, rel. 64; d = 3.014 Å, 2θ = 29.6°, rel. 100; d = 2.131 Å, 2θ = 42.4°, rel. 33; d = 1.906 Å, 2θ = 47.7°, rel. 28; d = 1.740 Å, 2θ = 52.6°, rel. 40; d = 1.507 Å, 2θ = 61.5°, rel. 20; d = 1.421 Å, 2θ = 65.7°, rel. 14; d = 1.348 Å, 2θ = 69.8°, rel. 18; d = 1.182 Å, 2θ = 81.4°, rel. 6; d = 1.139 Å, 2θ = 85.2°, rel. 21

```
10
Lattice="0.0000 4.2629 4.2629 4.2629 0.0000 4.2629 4.2629 4.2629 0.0000" Properties=species:S:1:pos:R:3 pbc="T T T"
K 0.0000 0.0000 0.0000
Ca 4.2629 4.2629 4.2629
Nd 2.1314 2.1314 2.1314
W 6.3943 6.3943 6.3943
O 6.3943 6.3943 4.4450
O 6.3943 4.4450 6.3943
O 8.3436 6.3943 6.3943
O 4.4450 6.3943 6.3943
O 6.3943 8.3436 6.3943
O 6.3943 6.3943 8.3436
```